Entry 1:
This entry pairs a crystal structure of PmLuMo4 with its simulated powder diffractogram. Radiation: a wavelength of 1.5418 Å. Structure: a structure optimized by DFT (PBE).

Largest 10 diffraction maxima, sorted by position, 10° ≤ 2θ ≤ 90°:
hkl 1 1 1, 2θ 19.7, I 1
hkl 2 2 0, 2θ 32.4, I 45
hkl 3 1 1, 2θ 38.2, I 100
hkl 2 2 2, 2θ 40.0, I 25
hkl 4 2 2, 2θ 57.8, I 17
hkl 5 1 1, 2θ 61.7, I 32
hkl 4 4 0, 2θ 67.9, I 26
hkl 6 2 0, 2θ 77.3, I 7
hkl 5 3 3, 2θ 80.7, I 11
hkl 6 2 2, 2θ 81.8, I 9

Cell and atoms:
a = 7.810 Å, b = 7.810 Å, c = 7.810 Å
α = 90.00°, β = 90.00°, γ = 90.00°
Space group F-43m (No. 216)
One atom of each set of equivalent atoms:
1 Pm 0.000 0.000 0.000
2 Lu 0.250 0.250 0.750
3 Mo 0.125 0.125 0.375

---

Entry 2:
This entry pairs a crystal structure of Lu2PdN with its simulated powder diffractogram. Radiation: a wavelength of 1.5418 Å. Structure: a structure optimized by DFT (PBE).

Largest 10 diffraction maxima, sorted by position, 10° ≤ 2θ ≤ 90°:
hkl 1 0 1, 2θ 31.0, I 14
hkl 0 1 2, 2θ 31.9, I 32
hkl 1 0 4, 2θ 35.2, I 100
hkl 0 1 5, 2θ 37.5, I 38
hkl 0 0 9, 2θ 38.3, I 23
hkl 0 1 8, 2θ 46.4, I 26
hkl 1 1 0, 2θ 54.6, I 33
hkl 1 0 13, 2θ 65.8, I 17
hkl 0 2 4, 2θ 66.6, I 15
hkl 1 1 9, 2θ 68.6, I 25

Cell and atoms:
a = 3.3623 Å, b = 3.3623 Å, c = 21.1442 Å
α = 90.00°, β = 90.00°, γ = 120.00°
Space group R-3m (No. 166, hexagonal axes)
One atom of each set of equivalent atoms:
1 Lu 0.0000 0.0000 0.2311
2 Pd 0.0000 0.0000 0.0000
3 N 0.0000 0.0000 0.5000